Entry 1:
Theoretical powder X-ray diffraction pattern of LiCuP3O9 for Cu Kα, from a cell relaxed with GGA-PBE.
No peak broadening, texture or thermal motion is included.

Atomic structure:
```
LiCuP3O9
1.0
8.2625 0.0000 0.0000
0.0000 8.7688 0.0000
0.0000 0.0000 8.9192
Li Cu P O
4 4 12 36
Cartesian
0.9975 0.7349 1.0092 Li
3.1337 8.0339 5.4689 Li
5.1288 3.6495 7.9100 Li
7.2649 5.1193 3.4504 Li
0.7992 7.5571 3.4335 Cu
3.3320 1.2117 7.8931 Cu
4.9305 5.5961 5.4857 Cu
7.4632 3.1727 1.0261 Cu
0.3774 5.9799 0.4354 P
0.5647 0.5231 6.5510 P
1.8374 5.0408 5.0290 P
2.2938 3.7280 0.5694 P
3.5666 8.2457 2.0914 P
3.7538 2.7889 4.8950 P
4.5086 7.1733 8.4839 P
4.6959 3.8613 2.3682 P
5.9687 8.1124 3.8902 P
6.4251 0.6564 8.3498 P
7.6978 4.9074 6.8278 P
7.8851 1.5955 4.0242 P
0.2425 1.7256 5.5099 O
0.5030 0.7270 3.1335 O
0.7086 7.3446 0.9241 O
0.9140 4.5944 6.2597 O
0.9802 5.6051 3.9172 O
1.0735 8.1116 5.7922 O
1.1545 2.8677 1.0637 O
1.3740 1.0739 7.7058 O
1.7437 5.1535 0.1003 O
2.3876 3.6153 4.5599 O
2.7572 7.6949 3.2461 O
2.9768 5.9011 5.5233 O
3.0577 0.6572 1.3326 O
3.1510 3.1637 8.3769 O
3.2172 4.1744 1.8001 O
3.4227 1.4242 5.3837 O
3.6282 8.0418 7.5931 O
3.8887 7.0431 1.0503 O
4.3738 2.6587 3.4093 O
4.6343 3.6574 5.7857 O
4.8398 5.8086 7.9952 O
5.0452 8.5588 2.6595 O
5.1115 7.5481 5.0020 O
5.2047 5.0416 3.1270 O
5.2857 1.5167 7.8556 O
5.5053 3.3105 1.2135 O
5.8749 7.9997 8.8189 O
6.5188 0.7691 4.3593 O
6.8884 5.4583 5.6731 O
7.1080 7.2521 3.3959 O
7.1890 3.7272 7.5866 O
7.2822 1.2207 0.5424 O
7.3485 0.2100 7.1191 O
7.5539 2.9602 3.5356 O
7.7594 5.1114 1.3261 O
8.0199 6.1100 7.8689 O
```

Largest 12 diffraction maxima, by angle, 10 to 80 degrees two-theta:
2theta  I (rel.)
17.79  100
22.37  74
22.60  91
23.79  67
24.86  68
25.07  47
25.85  33
31.99  83
32.23  27
34.10  86
35.62  28
46.11  27

Entry 2:
Theoretical powder X-ray diffraction pattern of ZnGeN2 for Cu Kα, from a cell relaxed with GGA-PBE.
No peak broadening, texture or thermal motion is included.

Atomic structure:
```
ZnGeN2
1.0
5.5499 0.0000 0.0000
0.0000 6.4492 0.0000
-0.1256 0.0000 5.5227
Zn Ge N
4 4 8
Cartesian
0.9254 0.8564 2.2415 Zn
0.8626 2.3682 5.0028 Zn
4.5617 4.0810 0.5199 Zn
4.4990 5.5928 3.2812 Zn
1.7932 4.1101 2.2958 Ge
1.7304 5.5636 5.0571 Ge
3.6939 0.8855 0.4656 Ge
3.6311 2.3390 3.2269 Ge
1.1117 4.1735 0.5579 N
1.0489 5.5002 3.3193 N
1.7772 0.7856 0.4222 N
1.7144 2.4390 3.1835 N
3.7099 4.0102 2.3392 N
3.6472 5.6636 5.1005 N
4.3754 0.9489 2.2034 N
4.3126 2.2756 4.9647 N
```

Largest 12 diffraction maxima, by angle, 10 to 80 degrees two-theta:
2theta  I (rel.)
26.41  33
26.86  37
32.14  89
32.27  54
32.42  30
35.22  51
35.95  100
36.26  61
36.68  27
39.31  27
57.66  52
69.43  26

Entry 3:
Theoretical powder X-ray diffraction pattern of TiAg for Cu Kα, from a cell relaxed with GGA-PBE.
No peak broadening, texture or thermal motion is included.

Atomic structure:
```
TiAg
1.0
2.8888 0.0000 0.0000
0.0000 2.8888 0.0000
0.0000 0.0000 4.1717
Ti Ag
1 1
Cartesian
0.0000 0.0000 0.0000 Ti
1.4444 1.4444 2.0858 Ag
```

Largest 12 diffraction maxima, by angle, 10 to 80 degrees two-theta:
2theta  I (rel.)
21.30  18
30.96  14
37.88  100
43.38  17
44.35  31
49.70  8
54.24  6
63.77  20
64.52  9
68.78  3
75.94  12
77.32  22

Entry 4:
Theoretical powder X-ray diffraction pattern of Cs2TlCuF6 for Cu Kα, from a cell relaxed with GGA-PBE.
No peak broadening, texture or thermal motion is included.

Atomic structure:
```
Cs2TlCuF6
1.0
0.0000 4.4904 4.4904
4.4904 0.0000 4.4904
4.4904 4.4904 0.0000
Cs Tl Cu F
2 1 1 6
Cartesian
2.2452 2.2452 2.2452 Cs
6.7357 6.7357 6.7357 Cs
0.0000 0.0000 0.0000 Tl
4.4904 4.4904 4.4904 Cu
4.4904 4.4904 2.3991 F
4.4904 2.3991 4.4904 F
6.5818 4.4904 4.4904 F
2.3991 4.4904 4.4904 F
4.4904 6.5818 4.4904 F
4.4904 4.4904 6.5818 F
```

Largest 12 diffraction maxima, by angle, 10 to 80 degrees two-theta:
2theta  I (rel.)
17.10  12
28.10  100
33.08  10
40.16  33
43.95  6
49.74  41
52.98  3
58.10  21
61.04  3
65.76  19
72.98  7
79.94  22

Entry 5:
Theoretical powder X-ray diffraction pattern of Ge3Ir for Cu Kα, from a cell relaxed with GGA-PBE.
No peak broadening, texture or thermal motion is included.

Atomic structure:
```
Ge3Ir
1.0
0.0000 3.2069 3.2069
3.2069 0.0000 3.2069
3.2069 3.2069 0.0000
Ge Ir
3 1
Cartesian
0.0000 0.0000 0.0000 Ge
1.6034 1.6034 1.6034 Ge
4.8103 4.8103 4.8103 Ge
3.2069 3.2069 3.2069 Ir
```

Largest 10 diffraction maxima, by angle, 10 to 80 degrees two-theta:
2theta  I (rel.)
24.03  18
27.82  9
39.75  100
46.99  10
49.21  3
57.47  17
63.19  4
65.03  4
72.15  34
77.30  3

Entry 6:
Theoretical powder X-ray diffraction pattern of NbFe3 for Cu Kα, from a cell relaxed with GGA-PBE.
No peak broadening, texture or thermal motion is included.

Atomic structure:
```
NbFe3
1.0
3.7268 0.0000 0.0000
0.0000 3.7268 0.0000
0.0000 0.0000 3.7268
Nb Fe
1 3
Cartesian
0.0000 0.0000 0.0000 Nb
0.0000 1.8634 1.8634 Fe
1.8634 0.0000 1.8634 Fe
1.8634 1.8634 0.0000 Fe
```

Largest 8 diffraction maxima, by angle, 10 to 80 degrees two-theta:
2theta  I (rel.)
23.88  6
34.02  5
41.99  100
48.88  47
55.10  3
60.89  2
71.62  28
76.72  1